1.
PaPd2Se3: simulated powder X-ray diffraction pattern (Cu Kα, 1.54184 Å), based on a cell relaxed with GGA-PBE.
Peak positions follow from Bragg's law for the DFT cell and can differ from measured ones.

Atomic structure:
```
data_PaPd2Se3
_chemical_formula_sum 'Pa2 Pd4 Se6'
_cell_length_a 6.4644
_cell_length_b 4.2781
_cell_length_c 10.6359
_cell_angle_alpha 90.00
_cell_angle_beta 95.33
_cell_angle_gamma 90.00
_symmetry_space_group_name_H-M 'P 1 21/m 1'
_symmetry_Int_Tables_number 11
loop_
_symmetry_equiv_pos_as_xyz
'x,y,z'
'-x,-y,-z'
'-x,y+1/2,-z'
'x,-y+1/2,z'
loop_
_atom_site_label
_atom_site_fract_x
_atom_site_fract_y
_atom_site_fract_z
Pa1 0.0549 0.2500 0.1757
Pd1 0.0184 0.2500 0.5859
Pd2 0.3576 0.7500 0.0368
Se1 0.2070 0.7500 0.6293
Se2 0.2187 0.2500 0.9286
Se3 0.3006 0.7500 0.2718
```

The 10 most intense peaks (10 to 90 degrees two-theta), low angle first:
two_theta, intensity
13.8, 100
26.8, 48
27.7, 49
31.0, 30
34.9, 32
36.6, 33
36.7, 30
37.7, 32
40.1, 48
42.2, 42

=====

2.
RbPaAgF6: simulated powder X-ray diffraction pattern (Cu Kα, 1.54184 Å), based on a cell relaxed with GGA-PBE.
Peak positions follow from Bragg's law for the DFT cell and can differ from measured ones.

Atomic structure:
```
data_RbPaAgF6
_chemical_formula_sum 'Rb2 Pa2 Ag2 F12'
_cell_length_a 6.9017
_cell_length_b 6.9017
_cell_length_c 8.7943
_cell_angle_alpha 90.00
_cell_angle_beta 90.00
_cell_angle_gamma 120.00
_symmetry_space_group_name_H-M 'P -3 1 c'
_symmetry_Int_Tables_number 163
_symmetry_space_group_name_Hall '-P 3 2c'
loop_
_atom_site_label
_atom_site_fract_x
_atom_site_fract_y
_atom_site_fract_z
Rb1 0.3333 0.6667 0.2500
Pa1 0.3333 0.6667 0.7500
Ag1 0.0000 0.0000 0.0000
F1 0.0748 0.3944 0.6154
```

The 10 most intense peaks (10 to 90 degrees two-theta), low angle first:
two_theta, intensity
17.9, 59
25.1, 100
25.8, 92
33.0, 34
36.3, 39
45.1, 43
45.5, 33
49.1, 49
59.6, 18
69.2, 17